1.
For Dy2TmSc3, a crystal structure in Alexandria, relaxed with PBE gives the theoretical X-ray powder pattern in this record (copper Kα).
No peak broadening, texture or thermal motion is included.

The 10 most intense peaks (2θ = 10–90°), in order of rising 2θ:
- 16.28 deg, I = 95
- 31.00 deg, I = 70
- 31.49 deg, I = 100
- 32.90 deg, I = 56
- 33.55 deg, I = 44
- 35.36 deg, I = 40
- 38.61 deg, I = 56
- 39.82 deg, I = 36
- 53.47 deg, I = 42
- 64.22 deg, I = 50

Atomic structure:
a = 5.937 Å, b = 3.427 Å, c = 16.455 Å
α = 90.00°, β = 96.92°, γ = 90.00°
Space group P2_1/m (No. 11)
One atom of each set of equivalent atoms:
1 Dy 0.029 0.250 0.334 x2
2 Dy 0.250 0.250 0.000 x2
3 Tm 0.473 0.250 0.666 x2
4 Sc 0.140 0.750 0.168 x2
5 Sc 0.252 0.750 0.501 x2
6 Sc 0.361 0.750 0.832 x2

2.
For Dy5Tm12Sc2, a crystal structure in Alexandria, relaxed with PBE gives the theoretical X-ray powder pattern in this record (copper Kα).
No peak broadening, texture or thermal motion is included.

The 10 most intense peaks (2θ = 10–90°), in order of rising 2θ:
- 28.94 deg, I = 49
- 30.71 deg, I = 57
- 30.99 deg, I = 61
- 31.91 deg, I = 55
- 32.06 deg, I = 41
- 32.38 deg, I = 77
- 32.51 deg, I = 100
- 33.77 deg, I = 77
- 36.41 deg, I = 47
- 60.19 deg, I = 31

Atomic structure:
a = 15.187 Å, b = 9.078 Å, c = 8.417 Å
α = 90.00°, β = 92.18°, γ = 90.00°
Space group C2/m (No. 12)
One atom of each set of equivalent atoms:
1 Dy 0.000 0.000 0.000 x2
2 Dy 0.205 0.500 0.521 x4
3 Dy 0.231 0.000 0.069 x4
4 Tm 0.056 0.500 0.834 x4
5 Tm 0.073 0.000 0.374 x4
6 Tm 0.130 0.308 0.176 x8
7 Tm 0.147 0.181 0.736 x8
8 Sc 0.000 0.331 0.500 x4

3.
For Dy12Tm5Sc, a crystal structure in Alexandria, relaxed with PBE gives the theoretical X-ray powder pattern in this record (copper Kα).
No peak broadening, texture or thermal motion is included.

The 10 most intense peaks (2θ = 10–90°), in order of rising 2θ:
- 30.84 deg, I = 59
- 32.74 deg, I = 100
- 44.17 deg, I = 22
- 49.67 deg, I = 8
- 56.06 deg, I = 42
- 59.61 deg, I = 18
- 68.62 deg, I = 11
- 72.95 deg, I = 9
- 74.00 deg, I = 9
- 85.28 deg, I = 5

Atomic structure:
a = 11.014 Å, b = 17.414 Å, c = 5.794 Å
α = 90.00°, β = 90.04°, γ = 90.00°
Space group C2/m (No. 12)
One atom of each set of equivalent atoms:
1 Dy 0.156 0.000 0.499 x4
2 Dy 0.158 0.500 0.001 x4
3 Dy 0.163 0.159 0.002 x8
4 Dy 0.166 0.337 0.498 x8
5 Tm 0.000 0.171 0.500 x4
6 Tm 0.000 0.328 0.000 x4
7 Tm 0.000 0.500 0.500 x2
8 Sc 0.000 0.000 0.000 x2

4.
For Dy5Tm3Sc3, a crystal structure in Alexandria, relaxed with PBE gives the theoretical X-ray powder pattern in this record (copper Kα).
No peak broadening, texture or thermal motion is included.

The 10 most intense peaks (2θ = 10–90°), in order of rising 2θ:
- 11.00 deg, I = 26
- 16.34 deg, I = 21
- 19.12 deg, I = 31
- 27.62 deg, I = 100
- 29.39 deg, I = 40
- 33.02 deg, I = 40
- 33.81 deg, I = 60
- 37.43 deg, I = 40
- 44.78 deg, I = 26
- 55.01 deg, I = 19

Atomic structure:
a = 9.2836 Å, b = 9.2836 Å, c = 5.4261 Å
α = 90.00°, β = 90.00°, γ = 120.00°
Space group P-62m (No. 189)
One atom of each set of equivalent atoms:
1 Dy 0.0000 0.7469 0.0000 x3
2 Dy 0.3333 0.6667 0.0000 x2
3 Tm 0.0000 0.5358 0.5000 x3
4 Sc 0.0000 0.3778 0.0000 x3

5.
For Dy5TmSc3, a crystal structure in Alexandria, relaxed with PBE gives the theoretical X-ray powder pattern in this record (copper Kα).
No peak broadening, texture or thermal motion is included.

The 10 most intense peaks (2θ = 10–90°), in order of rising 2θ:
- 22.50 deg, I = 74
- 29.64 deg, I = 52
- 30.13 deg, I = 64
- 30.46 deg, I = 36
- 32.17 deg, I = 100
- 33.19 deg, I = 46
- 33.39 deg, I = 56
- 33.80 deg, I = 47
- 35.85 deg, I = 54
- 41.59 deg, I = 33

Atomic structure:
a = 14.542 Å, b = 11.129 Å, c = 9.497 Å
α = 90.00°, β = 129.50°, γ = 90.00°
Space group C2/m (No. 12)
One atom of each set of equivalent atoms:
1 Dy 0.000 0.245 0.000 x4
2 Dy 0.139 0.247 0.740 x8
3 Dy 0.217 0.500 0.031 x4
4 Dy 0.222 0.000 0.236 x4
5 Tm 0.246 0.000 0.598 x4
6 Sc 0.000 0.000 0.500 x2
7 Sc 0.000 0.500 0.000 x2
8 Sc 0.013 0.000 0.821 x4
9 Sc 0.021 0.500 0.365 x4

6.
For Dy6Tm19Sc4, a crystal structure in Alexandria, relaxed with PBE gives the theoretical X-ray powder pattern in this record (copper Kα).
No peak broadening, texture or thermal motion is included.

The 10 most intense peaks (2θ = 10–90°), in order of rising 2θ:
- 27.42 deg, I = 95
- 29.36 deg, I = 99
- 31.18 deg, I = 85
- 36.16 deg, I = 65
- 37.69 deg, I = 100
- 48.48 deg, I = 35
- 50.89 deg, I = 23
- 53.22 deg, I = 25
- 55.48 deg, I = 25
- 61.94 deg, I = 41

Atomic structure:
a = 12.170 Å, b = 12.170 Å, c = 12.170 Å
α = 90.00°, β = 90.00°, γ = 90.00°
Space group I23 (No. 197)
One atom of each set of equivalent atoms:
1 Dy 0.000 0.130 0.500 x12
2 Tm 0.000 0.000 0.000 x2
3 Tm 0.000 0.000 0.259 x12
4 Tm 0.066 0.276 0.741 x24
5 Sc 0.177 0.177 0.177 x8